[1]
Diffraction record for Ca2TaGaN4. The powder X-ray diffraction pattern is computed, not measured: it uses DFT lattice parameters and positions (PBE) and copper Kα.
No peak broadening, texture or thermal motion is included.

Peak list (6 most intense, 2θ from 15° to 90°, in order of rising 2θ)
d (Å)  intensity
4.189  52.4
3.062  52.3
2.787  66.1
2.749  53.3
2.675  100.0
1.832  33.7

Cell and atoms:
```
Ca2TaGaN4
1.0
6.953 0.000 0.000
0.000 6.466 0.000
0.000 0.000 5.498
Ca Ta Ga N
4 2 2 8
direct
0.250 0.176 0.000
0.250 0.824 0.500
0.750 0.176 0.000
0.750 0.824 0.500
0.000 0.348 0.519
0.500 0.652 0.019
0.000 0.660 0.019
0.500 0.340 0.519
0.000 0.386 0.867
0.000 0.619 0.372
0.245 0.195 0.448
0.255 0.805 0.948
0.500 0.381 0.872
0.500 0.614 0.367
0.745 0.805 0.948
0.755 0.195 0.448
```

---

[2]
Diffraction record for CaZr2GaN4. The powder X-ray diffraction pattern is computed, not measured: it uses DFT lattice parameters and positions (PBE) and copper Kα.
No peak broadening, texture or thermal motion is included.

Peak list (6 most intense, 2θ from 15° to 90°, in order of rising 2θ)
d (Å)  intensity
5.048  40.5
2.849  43.4
2.815  41.9
2.748  80.4
2.261  100.0
2.113  32.8

Cell and atoms:
```
CaZr2GaN4
1.0
1.633 -5.630 0.000
1.633 5.630 0.000
0.000 0.000 11.396
Ca Zr Ga N
2 4 2 8
direct
0.101 0.899 0.750
0.899 0.101 0.250
0.371 0.629 0.539
0.371 0.629 0.961
0.629 0.371 0.039
0.629 0.371 0.461
0.166 0.834 0.250
0.834 0.166 0.750
0.000 0.000 0.000
0.000 0.000 0.500
0.268 0.732 0.115
0.268 0.732 0.385
0.432 0.568 0.750
0.568 0.432 0.250
0.732 0.268 0.615
0.732 0.268 0.885
```

---

[3]
Diffraction record for NaCaGa4. The powder X-ray diffraction pattern is computed, not measured: it uses DFT lattice parameters and positions (PBE) and copper Kα.
No peak broadening, texture or thermal motion is included.

Peak list (6 most intense, 2θ from 15° to 90°, in order of rising 2θ)
d (Å)  intensity
5.344  31.2
3.870  29.4
2.720  44.3
2.670  77.7
2.344  43.8
2.234  100.0

Cell and atoms:
```
NaCaGa4
1.0
-2.231 3.688 3.876
2.231 -3.688 3.876
2.231 3.688 -3.876
Na Ca Ga
1 1 4
direct
0.000 0.000 0.000
0.388 0.888 0.500
0.414 0.602 0.813
0.595 0.281 0.314
0.789 0.602 0.187
0.966 0.281 0.686
```

---

[4]
Diffraction record for NaCaGaSi2O7. The powder X-ray diffraction pattern is computed, not measured: it uses DFT lattice parameters and positions (PBE) and copper Kα.
No peak broadening, texture or thermal motion is included.

Peak list (6 most intense, 2θ from 15° to 90°, in order of rising 2θ)
d (Å)  intensity
5.138  100.0
3.719  69.4
3.104  64.1
2.926  53.3
2.903  62.7
2.467  93.4

Cell and atoms:
```
NaCaGaSi2O7
1.0
5.141 0.000 0.000
0.000 7.789 0.000
-0.244 0.000 7.814
Na Ca Ga Si O
2 2 2 4 14
direct
0.001 0.000 0.433
0.999 0.500 0.567
0.012 0.679 0.094
0.988 0.179 0.906
0.498 0.834 0.753
0.502 0.334 0.247
0.444 0.475 0.895
0.454 0.194 0.614
0.546 0.694 0.386
0.556 0.975 0.105
0.236 0.686 0.367
0.246 0.976 0.080
0.284 0.409 0.066
0.300 0.018 0.678
0.302 0.661 0.850
0.324 0.239 0.425
0.326 0.343 0.744
0.674 0.843 0.256
0.676 0.739 0.575
0.698 0.161 0.150
0.700 0.518 0.322
0.716 0.909 0.934
0.754 0.476 0.920
0.764 0.186 0.633
```

---

[5]
Diffraction record for CaNd2Ga. The powder X-ray diffraction pattern is computed, not measured: it uses DFT lattice parameters and positions (PBE) and copper Kα.
No peak broadening, texture or thermal motion is included.

Peak list (6 most intense, 2θ from 15° to 90°, in order of rising 2θ)
d (Å)  intensity
3.701  25.3
2.907  100.0
2.617  56.7
2.390  45.3
1.851  20.1
1.561  30.1

Cell and atoms:
```
CaNd2Ga
1.0
3.701 0.000 0.000
0.000 3.701 0.000
0.000 0.000 9.393
Ca Nd Ga
1 2 1
direct
0.000 0.000 0.000
0.500 0.500 0.309
0.500 0.500 0.691
0.000 0.000 0.500
```

---

[6]
Diffraction record for CaNd3Ga2. The powder X-ray diffraction pattern is computed, not measured: it uses DFT lattice parameters and positions (PBE) and copper Kα.
No peak broadening, texture or thermal motion is included.

Peak list (6 most intense, 2θ from 15° to 90°, in order of rising 2θ)
d (Å)  intensity
2.857  29.6
2.763  38.8
2.734  88.5
2.704  100.0
2.625  55.7
1.903  26.5

Cell and atoms:
```
CaNd3Ga2
1.0
5.250 0.000 0.000
0.000 9.463 0.000
0.000 0.000 6.807
Ca Nd Ga
2 6 4
direct
0.000 0.042 0.000
0.000 0.958 0.500
0.000 0.326 0.687
0.000 0.674 0.187
0.500 0.167 0.287
0.500 0.459 0.981
0.500 0.541 0.481
0.500 0.833 0.787
0.000 0.345 0.216
0.000 0.655 0.716
0.500 0.158 0.758
0.500 0.842 0.258
```

---

[7]
Diffraction record for CaNd2Ga4. The powder X-ray diffraction pattern is computed, not measured: it uses DFT lattice parameters and positions (PBE) and copper Kα.
No peak broadening, texture or thermal motion is included.

Peak list (6 most intense, 2θ from 15° to 90°, in order of rising 2θ)
d (Å)  intensity
2.917  100.0
2.876  52.2
2.247  33.6
2.188  53.5
2.103  27.5
1.591  30.7

Cell and atoms:
```
CaNd2Ga4
1.0
-2.103 2.247 9.355
2.103 -2.247 9.355
2.103 2.247 -9.355
Ca Nd Ga
1 2 4
direct
0.000 0.000 0.000
0.184 0.684 0.500
0.816 0.316 0.500
0.355 0.855 0.500
0.434 0.434 0.000
0.566 0.566 0.000
0.645 0.145 0.500
```